[1]
Computed powder X-ray diffraction pattern of NaLa2PuO6 for Cu Kα, from a DFT-relaxed cell (PBE, Alexandria).
Peak positions follow from Bragg's law for the DFT cell and can differ from measured ones.

Cell lengths 5.854, 6.023, 10.627 Å; angles 90.00, 121.67, 90.00 degrees
Space group P2_1/c (No. 14)
One atom of each set of equivalent atoms:
Na: 0.000 0.000 0.000 x2
La: 0.211 0.050 0.742 x4
Pu: 0.500 0.000 0.500 x2
O: 0.166 0.194 0.441 x4
O: 0.203 0.729 0.396 x4
O: 0.443 0.091 0.289 x4

Principal peaks in the range 10 to 80 degrees two-theta, in order of falling intensity:
index  2θ (°)  intensity
1 1 1  28.7  100
1 1 -3  29.3  93
0 1 1  17.7  71
1 0 -2  18.3  40
0 2 0  29.7  35
2 2 -2  43.1  34

[2]
Computed powder X-ray diffraction pattern of NaLaPu2O8 for Cu Kα, from a DFT-relaxed cell (PBE, Alexandria).
Peak positions follow from Bragg's law for the DFT cell and can differ from measured ones.

Cell lengths 5.463, 5.463, 10.425 Å; angles 90.00, 90.00, 90.00 degrees
Space group I-4m2 (No. 119)
One atom of each set of equivalent atoms:
Na: 0.000 0.000 0.000 x2
La: 0.000 0.500 0.750 x2
Pu: 0.000 0.000 0.500 x2
Pu: 0.000 0.500 0.250 x2
O: 0.218 0.249 0.375 x16

Principal peaks in the range 10 to 80 degrees two-theta, in order of falling intensity:
index  2θ (°)  intensity
1 1 2  28.8  100
1 0 1  18.3  43
2 0 4  48.3  34
3 1 2  56.1  32
2 0 0  32.8  22
1 1 6  58.2  19

[3]
Computed powder X-ray diffraction pattern of NaLa2RuO5 for Cu Kα, from a DFT-relaxed cell (PBE, Alexandria).
Peak positions follow from Bragg's law for the DFT cell and can differ from measured ones.

Cell lengths 6.981, 6.981, 5.836 Å; angles 90.00, 90.00, 90.00 degrees
Space group P4/mbm (No. 127)
One atom of each set of equivalent atoms:
Na: 0.000 0.000 0.000 x2
La: 0.180 0.320 0.500 x4
Ru: 0.000 0.500 0.000 x2
O: 0.000 0.000 0.500 x2
O: 0.134 0.634 0.245 x8

Principal peaks in the range 10 to 80 degrees two-theta, in order of falling intensity:
index  2θ (°)  intensity
2 0 1  29.8  100
2 1 1  32.5  73
2 1 2  42.4  54
1 1 0  18.0  45
0 0 1  15.2  40
3 1 1  43.8  37

[4]
Computed powder X-ray diffraction pattern of Na3Sr4La3Ti10O30 for Cu Kα, from a DFT-relaxed cell (PBE, Alexandria).
Peak positions follow from Bragg's law for the DFT cell and can differ from measured ones.

Cell lengths 5.548, 5.551, 20.001 Å; angles 82.19, 82.08, 89.97 degrees
Space group P1 (No. 1)
One atom of each set of equivalent atoms:
Na: 0.000 0.000 0.000 x1
Na: 0.196 0.191 0.602 x1
Na: 0.602 0.594 0.801 x1
Sr: 0.303 0.324 0.401 x1
Sr: 0.400 0.423 0.199 x1
Sr: 0.801 0.823 0.399 x1
Sr: 0.901 0.923 0.198 x1
La: 0.100 0.098 0.801 x1
La: 0.497 0.506 0.999 x1
La: 0.704 0.691 0.602 x1
Ti: 0.049 0.556 0.898 x1
Ti: 0.153 0.652 0.700 x1
Ti: 0.255 0.761 0.503 x1
Ti: 0.348 0.871 0.300 x1
Ti: 0.444 0.963 0.097 x1
Ti: 0.552 0.054 0.899 x1
Ti: 0.651 0.153 0.700 x1
Ti: 0.745 0.256 0.503 x1
Ti: 0.851 0.371 0.300 x1
Ti: 0.946 0.462 0.097 x1
O: 0.004 0.520 0.509 x1
O: 0.051 0.632 0.795 x1
O: 0.060 0.536 0.994 x1
O: 0.107 0.129 0.289 x1
O: 0.111 0.631 0.287 x1
O: 0.182 0.745 0.103 x1
O: 0.237 0.257 0.099 x1
O: 0.264 0.743 0.597 x1
O: 0.268 0.822 0.396 x1
O: 0.277 0.305 0.884 x1
O: 0.341 0.809 0.883 x1
O: 0.367 0.958 0.709 x1
O: 0.429 0.458 0.706 x1
O: 0.443 0.932 0.194 x1
O: 0.459 0.027 0.994 x1
O: 0.502 0.042 0.487 x1
O: 0.522 0.549 0.490 x1
O: 0.599 0.127 0.304 x1
O: 0.605 0.627 0.301 x1
O: 0.650 0.236 0.597 x1
O: 0.665 0.138 0.795 x1
O: 0.681 0.700 0.085 x1
O: 0.735 0.214 0.083 x1
O: 0.766 0.360 0.906 x1
O: 0.833 0.860 0.903 x1
O: 0.844 0.333 0.396 x1
O: 0.872 0.419 0.193 x1
O: 0.877 0.907 0.684 x1
O: 0.938 0.412 0.684 x1
O: 0.982 0.008 0.507 x1

Principal peaks in the range 10 to 80 degrees two-theta, in order of falling intensity:
index  2θ (°)  intensity
1 1 -4  32.3  100
2 -2 0  46.3  39
3 1 7  57.5  21
0 1 3  19.6  20
1 0 -7  38.0  12
1 1 16  76.8  11

[5]
Computed powder X-ray diffraction pattern of NaSr2LaTi4O12 for Cu Kα, from a DFT-relaxed cell (PBE, Alexandria).
Peak positions follow from Bragg's law for the DFT cell and can differ from measured ones.

Cell lengths 5.522, 5.522, 7.897 Å; angles 90.00, 90.00, 90.00 degrees
Space group P-42m (No. 111)
One atom of each set of equivalent atoms:
Na: 0.000 0.000 0.000 x1
Sr: 0.000 0.000 0.500 x1
Sr: 0.500 0.500 0.500 x1
La: 0.500 0.500 0.000 x1
Ti: 0.000 0.500 0.247 x4
O: 0.000 0.500 0.000 x2
O: 0.000 0.500 0.500 x2
O: 0.220 0.220 0.249 x4
O: 0.291 0.291 0.756 x4

Principal peaks in the range 10 to 80 degrees two-theta, in order of falling intensity:
index  2θ (°)  intensity
1 1 2  32.2  100
2 0 0  32.4  54
3 1 2  57.7  41
2 2 0  46.5  40
2 0 2  39.8  30
2 2 4  67.5  23

[6]
Computed powder X-ray diffraction pattern of NaSr2LaTi4O12 for Cu Kα, from a DFT-relaxed cell (PBE, Alexandria).
Peak positions follow from Bragg's law for the DFT cell and can differ from measured ones.

Cell lengths 5.553, 5.553, 15.690 Å; angles 90.00, 90.00, 90.00 degrees
Space group I4/mmm (No. 139)
One atom of each set of equivalent atoms:
Na: 0.000 0.000 0.000 x2
Sr: 0.000 0.000 0.249 x4
La: 0.000 0.000 0.500 x2
Ti: 0.000 0.500 0.124 x8
O: 0.000 0.500 0.000 x4
O: 0.000 0.500 0.250 x4
O: 0.244 0.244 0.377 x16

Principal peaks in the range 10 to 80 degrees two-theta, in order of falling intensity:
index  2θ (°)  intensity
2 0 0  32.3  100
2 2 0  46.3  42
3 1 4  57.5  38
4 0 0  67.5  24
2 0 4  39.8  21
1 0 1  16.9  20

Please write out number 4 again, unchanged.
Computed powder X-ray diffraction pattern of Na3Sr4La3Ti10O30 for Cu Kα, from a DFT-relaxed cell (PBE, Alexandria).
Peak positions follow from Bragg's law for the DFT cell and can differ from measured ones.

Cell lengths 5.548, 5.551, 20.001 Å; angles 82.19, 82.08, 89.97 degrees
Space group P1 (No. 1)
One atom of each set of equivalent atoms:
Na: 0.000 0.000 0.000 x1
Na: 0.196 0.191 0.602 x1
Na: 0.602 0.594 0.801 x1
Sr: 0.303 0.324 0.401 x1
Sr: 0.400 0.423 0.199 x1
Sr: 0.801 0.823 0.399 x1
Sr: 0.901 0.923 0.198 x1
La: 0.100 0.098 0.801 x1
La: 0.497 0.506 0.999 x1
La: 0.704 0.691 0.602 x1
Ti: 0.049 0.556 0.898 x1
Ti: 0.153 0.652 0.700 x1
Ti: 0.255 0.761 0.503 x1
Ti: 0.348 0.871 0.300 x1
Ti: 0.444 0.963 0.097 x1
Ti: 0.552 0.054 0.899 x1
Ti: 0.651 0.153 0.700 x1
Ti: 0.745 0.256 0.503 x1
Ti: 0.851 0.371 0.300 x1
Ti: 0.946 0.462 0.097 x1
O: 0.004 0.520 0.509 x1
O: 0.051 0.632 0.795 x1
O: 0.060 0.536 0.994 x1
O: 0.107 0.129 0.289 x1
O: 0.111 0.631 0.287 x1
O: 0.182 0.745 0.103 x1
O: 0.237 0.257 0.099 x1
O: 0.264 0.743 0.597 x1
O: 0.268 0.822 0.396 x1
O: 0.277 0.305 0.884 x1
O: 0.341 0.809 0.883 x1
O: 0.367 0.958 0.709 x1
O: 0.429 0.458 0.706 x1
O: 0.443 0.932 0.194 x1
O: 0.459 0.027 0.994 x1
O: 0.502 0.042 0.487 x1
O: 0.522 0.549 0.490 x1
O: 0.599 0.127 0.304 x1
O: 0.605 0.627 0.301 x1
O: 0.650 0.236 0.597 x1
O: 0.665 0.138 0.795 x1
O: 0.681 0.700 0.085 x1
O: 0.735 0.214 0.083 x1
O: 0.766 0.360 0.906 x1
O: 0.833 0.860 0.903 x1
O: 0.844 0.333 0.396 x1
O: 0.872 0.419 0.193 x1
O: 0.877 0.907 0.684 x1
O: 0.938 0.412 0.684 x1
O: 0.982 0.008 0.507 x1

Principal peaks in the range 10 to 80 degrees two-theta, in order of falling intensity:
index  2θ (°)  intensity
1 1 -4  32.3  100
2 -2 0  46.3  39
3 1 7  57.5  21
0 1 3  19.6  20
1 0 -7  38.0  12
1 1 16  76.8  11